# NpPaCr2O8
Calculated X-ray diffraction stick pattern, Cu Kα. Input: a structure optimized by DFT (GGA+U).
Lines closer than 0.1° are merged.

Structure:
```
NpPaCr2O8
1.0
-2.598 2.598 5.429
2.598 -2.598 5.429
2.598 2.598 -5.429
Np Pa Cr O
1 1 2 8
Direct
0.000 0.000 0.000
0.750 0.250 0.500
0.250 0.750 0.500
0.500 0.500 0.000
0.077 0.655 0.061
0.130 0.225 0.528
0.345 0.406 0.422
0.398 0.870 0.095
0.594 0.016 0.939
0.697 0.602 0.472
0.775 0.303 0.905
0.984 0.923 0.578
```

The 6 most intense peaks (15° ≤ 2θ ≤ 90°), by intensity:
2theta	d/Å	intensity
29.36	3.042	100
18.94	4.686	54
48.51	1.877	31
58.72	1.572	29
34.53	2.598	21
39.67	2.272	18